(1)
Diffraction record for BaSrNdVO6. The X-ray powder pattern is calculated, not measured: it uses the PBE+U geometry in the Materials Project and Cu Kα, 1.54184 Å.
Kinematic intensities with the Lorentz-polarization factor, no thermal factor.

Top 8 peaks for 2θ = 15–90°, by angle:
18.2 deg, 4.874 Å, rel. 11
29.9 deg, 2.985 Å, rel. 100
35.3 deg, 2.545 Å, rel. 10
42.8 deg, 2.111 Å, rel. 32
53.2 deg, 1.723 Å, rel. 39
62.2 deg, 1.492 Å, rel. 19
70.6 deg, 1.335 Å, rel. 18
86.2 deg, 1.128 Å, rel. 21

Structural model:
```
10
Lattice="0.000 4.221 4.221 4.221 0.000 4.221 4.221 4.221 0.000" Properties=species:S:1:pos:R:3 pbc="T T T"
Ba 0.000 0.000 0.000
Sr 4.221 4.221 4.221
Nd 6.332 6.332 6.332
V 2.111 2.111 2.111
O 2.111 2.111 0.201
O 2.111 0.201 2.111
O 4.020 2.111 2.111
O 0.201 2.111 2.111
O 2.111 4.020 2.111
O 2.111 2.111 4.020
```



(2)
Diffraction record for Ba2NdVO6. The X-ray powder pattern is calculated, not measured: it uses the PBE+U geometry in the Materials Project and Cu Kα, 1.54184 Å.
Kinematic intensities with the Lorentz-polarization factor, no thermal factor.

Top 8 peaks for 2θ = 15–90°, by angle:
18.1 deg, 4.907 Å, rel. 7
29.7 deg, 3.005 Å, rel. 100
35.0 deg, 2.563 Å, rel. 7
42.5 deg, 2.125 Å, rel. 30
52.8 deg, 1.735 Å, rel. 40
61.7 deg, 1.503 Å, rel. 18
70.0 deg, 1.344 Å, rel. 18
85.5 deg, 1.136 Å, rel. 21

Structural model:
```
40
Lattice="8.500 0.000 0.000 0.000 8.500 0.000 0.000 0.000 8.500" Properties=species:S:1:pos:R:3 pbc="T T T"
Ba 2.125 2.125 2.125
Ba 2.125 2.125 6.375
Ba 2.125 6.375 2.125
Ba 2.125 6.375 6.375
Ba 6.375 2.125 2.125
Ba 6.375 2.125 6.375
Ba 6.375 6.375 2.125
Ba 6.375 6.375 6.375
Nd 0.000 0.000 0.000
Nd 0.000 4.250 4.250
Nd 4.250 0.000 4.250
Nd 4.250 4.250 0.000
V 0.000 0.000 4.250
V 0.000 4.250 0.000
V 4.250 0.000 0.000
V 4.250 4.250 4.250
O 0.091 4.348 6.584
O 0.091 8.402 6.166
O 0.098 1.916 4.341
O 0.098 2.334 8.408
O 1.916 4.341 0.098
O 1.916 8.408 4.152
O 2.334 4.341 4.152
O 2.334 8.408 0.098
O 4.152 1.916 8.408
O 4.152 2.334 4.341
O 4.158 4.348 6.166
O 4.158 8.402 6.584
O 4.341 0.098 1.916
O 4.341 4.152 2.334
O 4.348 6.166 4.158
O 4.348 6.584 0.091
O 6.166 0.091 8.402
O 6.166 4.158 4.348
O 6.584 0.091 4.348
O 6.584 4.158 8.402
O 8.402 6.166 0.091
O 8.402 6.584 4.158
O 8.408 0.098 2.334
O 8.408 4.152 1.916
```



(3)
Diffraction record for Ba2NdVO6. The X-ray powder pattern is calculated, not measured: it uses the PBE+U geometry in the Materials Project and Cu Kα, 1.54184 Å.
Kinematic intensities with the Lorentz-polarization factor, no thermal factor.

Top 8 peaks for 2θ = 15–90°, by angle:
18.1 deg, 4.908 Å, rel. 7
29.7 deg, 3.006 Å, rel. 100
35.0 deg, 2.563 Å, rel. 7
42.5 deg, 2.125 Å, rel. 30
52.8 deg, 1.735 Å, rel. 39
61.7 deg, 1.503 Å, rel. 19
70.0 deg, 1.344 Å, rel. 18
85.5 deg, 1.136 Å, rel. 21

Structural model:
```
10
Lattice="0.000 4.251 4.251 4.251 0.000 4.251 4.251 4.251 0.000" Properties=species:S:1:pos:R:3 pbc="T T T"
Ba 2.125 2.125 2.125
Ba 6.376 6.376 6.376
Nd 0.000 0.000 0.000
V 4.251 4.251 4.251
O 4.251 4.251 2.332
O 4.251 2.332 4.251
O 6.169 4.251 4.251
O 2.332 4.251 4.251
O 4.251 6.169 4.251
O 4.251 4.251 6.169
```



(4)
Diffraction record for Ba3NdV3O12. The X-ray powder pattern is calculated, not measured: it uses the PBE+U geometry in the Materials Project and Cu Kα, 1.54184 Å.
Kinematic intensities with the Lorentz-polarization factor, no thermal factor.

Top 8 peaks for 2θ = 15–90°, by angle:
18.3 deg, 4.851 Å, rel. 18
27.7 deg, 3.226 Å, rel. 100
27.8 deg, 3.206 Å, rel. 46
30.6 deg, 2.923 Å, rel. 84
31.2 deg, 2.868 Å, rel. 46
41.1 deg, 2.196 Å, rel. 18
42.3 deg, 2.137 Å, rel. 41
47.2 deg, 1.926 Å, rel. 27

Structural model:
```
38
Lattice="11.102 -2.868 0.000 11.102 2.868 0.000 -0.785 0.000 9.618" Properties=species:S:1:pos:R:3 pbc="T T T"
Ba 0.000 0.000 0.000
Ba 0.786 0.000 6.258
Ba 4.346 0.000 0.024
Ba 11.376 0.000 3.235
Ba 14.218 0.000 6.432
Ba 18.741 0.000 6.216
Nd 8.316 0.000 0.284
Nd 16.171 0.000 3.201
V 2.790 0.000 3.275
V 5.273 0.000 6.197
V 9.812 0.000 6.549
V 12.497 0.000 9.605
V 17.785 0.000 0.007
V 20.123 0.000 2.855
O 5.391 1.472 5.232
O 6.508 1.411 0.979
O 1.724 0.000 1.924
O 9.387 1.471 1.840
O 3.661 0.000 6.836
O 9.563 1.443 7.496
O 4.442 0.000 2.720
O 6.382 0.000 7.579
O 12.688 1.386 8.568
O 13.561 1.445 4.237
O 8.743 0.000 5.229
O 5.391 -1.472 5.232
O 11.639 0.000 0.548
O 11.471 0.000 5.926
O 6.508 -1.411 0.979
O 14.515 0.000 1.281
O 9.387 -1.471 1.840
O 9.563 -1.443 7.496
O 15.846 0.000 8.387
O 12.688 -1.386 8.568
O 18.485 0.000 3.447
O 18.608 0.000 9.006
O 13.561 -1.445 4.237
O 21.229 0.000 4.175
```